Entry 1:
Diffraction record for CsKPt3. The powder XRD pattern is theoretical, not measured: it uses a cell relaxed with GGA-PBE and Cu Kα (λ = 1.5418 Å).
Kinematic intensities with the Lorentz-polarization factor, no thermal factor.

Structure:
a = 6.640 Å, b = 6.640 Å, c = 6.640 Å
α = 139.68°, β = 133.37°, γ = 63.32°
Element x y z (fractional)
Cs (0.000, 0.000, 0.000)
K (0.404, 0.404, 0.000)
Pt (0.453, 0.708, 0.745)
Pt (0.711, 0.211, 0.500)
Pt (0.963, 0.708, 0.255)

Principal peaks in the range 10 to 90 degrees two-theta, in order of rising 2θ:
2θ 15.68, I 1000; 2θ 18.62, I 188; 2θ 29.16, I 250; 2θ 30.34, I 560; 2θ 30.73, I 240; 2θ 31.66, I 434; 2θ 39.37, I 315; 2θ 40.37, I 836; 2θ 46.57, I 298; 2θ 51.37, I 227; 2θ 57.41, I 415; 2θ 85.14, I 209



Entry 2:
Diffraction record for CsKPtS2. The powder XRD pattern is theoretical, not measured: it uses a cell relaxed with GGA-PBE and Cu Kα (λ = 1.5418 Å).
Kinematic intensities with the Lorentz-polarization factor, no thermal factor.

Structure:
a = 6.516 Å, b = 6.516 Å, c = 6.516 Å
α = 147.02°, β = 110.84°, γ = 78.78°
Element x y z (fractional)
Cs (0.000, 0.000, 0.000)
K (0.616, 0.616, 0.000)
Pt (0.313, 0.813, 0.500)
S (0.107, 0.313, 0.795)
S (0.518, 0.313, 0.205)

Principal peaks in the range 10 to 90 degrees two-theta, in order of rising 2θ:
2θ 14.86, I 970; 2θ 17.61, I 281; 2θ 24.06, I 533; 2θ 25.66, I 402; 2θ 29.21, I 954; 2θ 32.38, I 1000; 2θ 35.46, I 876; 2θ 47.88, I 488; 2θ 49.27, I 274; 2θ 57.77, I 337; 2θ 58.31, I 265; 2θ 69.43, I 207



Entry 3:
Diffraction record for CsKPtSeS2. The powder XRD pattern is theoretical, not measured: it uses a cell relaxed with GGA-PBE and Cu Kα (λ = 1.5418 Å).
Kinematic intensities with the Lorentz-polarization factor, no thermal factor.

Structure:
a = 6.950 Å, b = 7.496 Å, c = 9.336 Å
α = 72.06°, β = 68.70°, γ = 63.24°
Element x y z (fractional)
Cs (0.175, 0.448, 0.183)
Cs (0.825, 0.552, 0.817)
K (0.403, 0.822, 0.368)
K (0.597, 0.178, 0.632)
Pt (0.101, 0.965, 0.845)
Pt (0.899, 0.035, 0.155)
Se (0.315, 0.649, 0.743)
Se (0.685, 0.351, 0.257)
S (0.139, 0.141, 0.597)
S (0.253, 0.015, 0.004)
S (0.747, 0.985, 0.996)
S (0.861, 0.859, 0.403)

Principal peaks in the range 10 to 90 degrees two-theta, in order of rising 2θ:
2θ 10.33, I 708; 2θ 14.80, I 520; 2θ 15.02, I 508; 2θ 15.70, I 875; 2θ 20.74, I 324; 2θ 25.15, I 321; 2θ 25.39, I 318; 2θ 25.64, I 1000; 2θ 27.06, I 286; 2θ 27.25, I 456; 2θ 30.89, I 356; 2θ 33.07, I 320



Entry 4:
Diffraction record for CsKTcSe2S. The powder XRD pattern is theoretical, not measured: it uses a cell relaxed with GGA-PBE and Cu Kα (λ = 1.5418 Å).
Kinematic intensities with the Lorentz-polarization factor, no thermal factor.

Structure:
a = 7.122 Å, b = 7.939 Å, c = 8.843 Å
α = 84.00°, β = 67.31°, γ = 63.42°
Element x y z (fractional)
Cs (0.101, 0.098, 0.185)
Cs (0.899, 0.902, 0.815)
K (0.293, 0.310, 0.633)
K (0.707, 0.690, 0.367)
Tc (0.444, 0.442, 0.158)
Tc (0.556, 0.558, 0.842)
Se (0.207, 0.663, 0.391)
Se (0.445, 0.871, 0.757)
Se (0.555, 0.129, 0.243)
Se (0.793, 0.337, 0.609)
S (0.255, 0.500, 0.989)
S (0.745, 0.500, 0.011)

Principal peaks in the range 10 to 90 degrees two-theta, in order of rising 2θ:
2θ 14.69, I 260; 2θ 14.83, I 276; 2θ 21.86, I 237; 2θ 25.01, I 1000; 2θ 26.17, I 618; 2θ 26.63, I 646; 2θ 33.11, I 206; 2θ 34.43, I 219; 2θ 36.79, I 321; 2θ 36.95, I 198; 2θ 40.69, I 316; 2θ 51.32, I 197



Entry 5:
Diffraction record for CsKWSe2S. The powder XRD pattern is theoretical, not measured: it uses a cell relaxed with GGA-PBE and Cu Kα (λ = 1.5418 Å).
Kinematic intensities with the Lorentz-polarization factor, no thermal factor.

Structure:
a = 7.186 Å, b = 7.956 Å, c = 8.797 Å
α = 76.97°, β = 69.64°, γ = 64.25°
Element x y z (fractional)
Cs (0.185, 0.416, 0.187)
Cs (0.815, 0.584, 0.813)
K (0.400, 0.806, 0.368)
K (0.600, 0.194, 0.632)
W (0.119, 0.946, 0.838)
W (0.881, 0.054, 0.162)
Se (0.140, 0.162, 0.601)
Se (0.319, 0.631, 0.758)
Se (0.681, 0.369, 0.242)
Se (0.860, 0.838, 0.399)
S (0.233, 0.006, 0.026)
S (0.767, 0.994, 0.974)

Principal peaks in the range 10 to 90 degrees two-theta, in order of rising 2θ:
2θ 10.77, I 245; 2θ 12.40, I 203; 2θ 14.28, I 470; 2θ 14.82, I 235; 2θ 14.99, I 480; 2θ 15.25, I 327; 2θ 21.63, I 250; 2θ 23.46, I 420; 2θ 24.83, I 1000; 2θ 25.96, I 396; 2θ 26.34, I 434; 2θ 40.38, I 293



Entry 6:
Diffraction record for CsK5Zn4Sn5S17. The powder XRD pattern is theoretical, not measured: it uses a cell relaxed with GGA-PBE and Cu Kα (λ = 1.5418 Å).
Kinematic intensities with the Lorentz-polarization factor, no thermal factor.

Structure:
a = 10.970 Å, b = 10.970 Å, c = 10.970 Å
α = 101.15°, β = 101.15°, γ = 127.82°
Element x y z (fractional)
Cs (0.000, 0.000, 0.000)
K (0.011, 0.511, 0.022)
K (0.011, 0.989, 0.500)
K (0.489, 0.511, 0.500)
K (0.489, 0.989, 0.978)
K (0.750, 0.250, 0.500)
Zn (0.111, 0.472, 0.362)
Zn (0.111, 0.749, 0.638)
Zn (0.251, 0.889, 0.362)
Zn (0.528, 0.889, 0.638)
Sn (0.250, 0.526, 0.724)
Sn (0.474, 0.198, 0.724)
Sn (0.474, 0.750, 0.276)
Sn (0.500, 0.500, 0.000)
Sn (0.802, 0.526, 0.276)
S (0.104, 0.325, 0.494)
S (0.104, 0.611, 0.779)
S (0.212, 0.354, 0.857)
S (0.240, 0.022, 0.782)
S (0.240, 0.458, 0.218)
S (0.250, 0.750, 0.500)
S (0.389, 0.169, 0.494)
S (0.389, 0.896, 0.221)
S (0.497, 0.354, 0.143)
S (0.542, 0.760, 0.782)
S (0.646, 0.503, 0.857)
S (0.646, 0.788, 0.143)
S (0.675, 0.169, 0.779)
S (0.675, 0.896, 0.506)
S (0.831, 0.325, 0.221)
S (0.831, 0.611, 0.506)
S (0.978, 0.760, 0.218)

Principal peaks in the range 10 to 90 degrees two-theta, in order of rising 2θ:
2θ 11.16, I 1000; 2θ 12.71, I 398; 2θ 18.39, I 337; 2θ 20.15, I 484; 2θ 24.82, I 376; 2θ 25.57, I 556; 2θ 27.42, I 972; 2θ 27.98, I 325; 2θ 34.26, I 314; 2θ 35.94, I 382; 2θ 53.15, I 423; 2θ 53.57, I 420



Entry 7:
Diffraction record for CsKTcSe3. The powder XRD pattern is theoretical, not measured: it uses a cell relaxed with GGA-PBE and Cu Kα (λ = 1.5418 Å).
Kinematic intensities with the Lorentz-polarization factor, no thermal factor.

Structure:
a = 7.325 Å, b = 8.012 Å, c = 9.010 Å
α = 83.81°, β = 66.09°, γ = 62.97°
Element x y z (fractional)
Cs (0.106, 0.087, 0.187)
Cs (0.894, 0.913, 0.813)
K (0.283, 0.309, 0.631)
K (0.717, 0.691, 0.369)
Tc (0.444, 0.440, 0.163)
Tc (0.556, 0.560, 0.837)
Se (0.216, 0.661, 0.395)
Se (0.236, 0.503, 0.995)
Se (0.445, 0.871, 0.758)
Se (0.555, 0.129, 0.242)
Se (0.764, 0.497, 0.005)
Se (0.784, 0.339, 0.605)

Principal peaks in the range 10 to 90 degrees two-theta, in order of rising 2θ:
2θ 10.79, I 451; 2θ 14.42, I 600; 2θ 21.67, I 287; 2θ 24.30, I 1000; 2θ 26.09, I 918; 2θ 26.39, I 945; 2θ 26.65, I 303; 2θ 29.07, I 408; 2θ 32.78, I 601; 2θ 34.02, I 437; 2θ 40.37, I 281; 2θ 40.63, I 414



Entry 8:
Diffraction record for CsKTcSe3. The powder XRD pattern is theoretical, not measured: it uses a cell relaxed with GGA-PBE and Cu Kα (λ = 1.5418 Å).
Kinematic intensities with the Lorentz-polarization factor, no thermal factor.

Structure:
a = 8.920 Å, b = 3.967 Å, c = 10.611 Å
α = 90.00°, β = 91.17°, γ = 90.00°
Element x y z (fractional)
Cs (0.084, 0.250, 0.152)
Cs (0.916, 0.750, 0.848)
K (0.298, 0.750, 0.502)
K (0.702, 0.250, 0.498)
Tc (0.436, 0.250, 0.843)
Tc (0.564, 0.750, 0.157)
Se (0.196, 0.250, 0.721)
Se (0.344, 0.750, 0.985)
Se (0.442, 0.250, 0.282)
Se (0.558, 0.750, 0.718)
Se (0.656, 0.250, 0.015)
Se (0.804, 0.750, 0.279)

Principal peaks in the range 10 to 90 degrees two-theta, in order of rising 2θ:
2θ 16.71, I 116; 2θ 21.46, I 102; 2θ 26.37, I 360; 2θ 29.74, I 1000; 2θ 31.45, I 159; 2θ 32.64, I 140; 2θ 35.31, I 108; 2θ 37.82, I 167; 2θ 39.16, I 126; 2θ 42.40, I 186; 2θ 45.74, I 183; 2θ 49.99, I 151



Entry 9:
Diffraction record for CsLiMoS4. The powder XRD pattern is theoretical, not measured: it uses a cell relaxed with GGA-PBE and Cu Kα (λ = 1.5418 Å).
Kinematic intensities with the Lorentz-polarization factor, no thermal factor.

Structure:
a = 7.366 Å, b = 7.366 Å, c = 7.366 Å
α = 60.00°, β = 60.00°, γ = 60.00°
Element x y z (fractional)
Cs (0.000, 0.000, 0.000)
Li (0.250, 0.250, 0.250)
Mo (0.500, 0.500, 0.500)
S (0.379, 0.379, 0.379)
S (0.379, 0.379, 0.864)
S (0.379, 0.864, 0.379)
S (0.864, 0.379, 0.379)

Principal peaks in the range 10 to 90 degrees two-theta, in order of rising 2θ:
2θ 14.73, I 126; 2θ 17.02, I 1000; 2θ 24.16, I 903; 2θ 28.42, I 176; 2θ 29.71, I 442; 2θ 38.65, I 444; 2θ 42.51, I 390; 2θ 49.49, I 292; 2θ 52.72, I 236; 2θ 55.81, I 171; 2θ 58.80, I 174; 2θ 67.25, I 199



Entry 10:
Diffraction record for Cs2Rb2LiReO6. The powder XRD pattern is theoretical, not measured: it uses a cell relaxed with GGA-PBE and Cu Kα (λ = 1.5418 Å).
Kinematic intensities with the Lorentz-polarization factor, no thermal factor.

Structure:
a = 6.755 Å, b = 6.755 Å, c = 6.353 Å
α = 105.03°, β = 105.03°, γ = 119.18°
Element x y z (fractional)
Cs (0.165, 0.835, 0.000)
Cs (0.835, 0.165, 0.000)
Rb (0.325, 0.675, 0.500)
Rb (0.675, 0.325, 0.500)
Li (0.000, 0.000, 0.500)
Re (0.500, 0.500, 0.000)
O (0.174, 0.401, 0.776)
O (0.347, 0.347, 0.177)
O (0.401, 0.174, 0.776)
O (0.599, 0.826, 0.224)
O (0.653, 0.653, 0.823)
O (0.826, 0.599, 0.224)

Principal peaks in the range 10 to 90 degrees two-theta, in order of rising 2θ:
2θ 16.24, I 476; 2θ 16.91, I 254; 2θ 27.53, I 245; 2θ 27.77, I 1000; 2θ 30.44, I 371; 2θ 31.30, I 518; 2θ 32.83, I 291; 2θ 36.02, I 738; 2θ 46.76, I 436; 2θ 50.10, I 261; 2θ 53.59, I 280; 2θ 56.84, I 162



Entry 11:
Diffraction record for CsLi4ReO6. The powder XRD pattern is theoretical, not measured: it uses a cell relaxed with GGA-PBE and Cu Kα (λ = 1.5418 Å).
Kinematic intensities with the Lorentz-polarization factor, no thermal factor.

Structure:
a = 5.315 Å, b = 5.315 Å, c = 5.619 Å
α = 99.47°, β = 99.47°, γ = 107.23°
Element x y z (fractional)
Cs (0.000, 0.000, 0.000)
Li (0.168, 0.832, 0.500)
Li (0.340, 0.660, 0.000)
Li (0.660, 0.340, 0.000)
Li (0.832, 0.168, 0.500)
Re (0.500, 0.500, 0.500)
O (0.221, 0.544, 0.264)
O (0.238, 0.238, 0.602)
O (0.456, 0.779, 0.736)
O (0.544, 0.221, 0.264)
O (0.762, 0.762, 0.398)
O (0.779, 0.456, 0.736)

Principal peaks in the range 10 to 90 degrees two-theta, in order of rising 2θ:
2θ 20.76, I 542; 2θ 21.45, I 1000; 2θ 27.07, I 538; 2θ 29.49, I 249; 2θ 33.19, I 135; 2θ 36.34, I 199; 2θ 36.78, I 186; 2θ 38.00, I 137; 2θ 39.47, I 257; 2θ 40.49, I 311; 2θ 43.69, I 146; 2θ 44.60, I 191



Entry 12:
Diffraction record for CsLi6TaO6. The powder XRD pattern is theoretical, not measured: it uses a cell relaxed with GGA-PBE and Cu Kα (λ = 1.5418 Å).
Kinematic intensities with the Lorentz-polarization factor, no thermal factor.

Structure:
a = 5.374 Å, b = 5.374 Å, c = 5.374 Å
α = 101.01°, β = 101.01°, γ = 101.01°
Element x y z (fractional)
Cs (0.000, 0.000, 0.000)
Li (0.156, 0.500, 0.844)
Li (0.156, 0.844, 0.500)
Li (0.500, 0.156, 0.844)
Li (0.500, 0.844, 0.156)
Li (0.844, 0.156, 0.500)
Li (0.844, 0.500, 0.156)
Ta (0.500, 0.500, 0.500)
O (0.231, 0.231, 0.584)
O (0.231, 0.584, 0.231)
O (0.416, 0.769, 0.769)
O (0.584, 0.231, 0.231)
O (0.769, 0.416, 0.769)
O (0.769, 0.769, 0.416)

Principal peaks in the range 10 to 90 degrees two-theta, in order of rising 2θ:
2θ 17.30, I 95; 2θ 21.42, I 1000; 2θ 27.35, I 615; 2θ 35.01, I 244; 2θ 37.56, I 247; 2θ 41.41, I 583; 2θ 43.65, I 182; 2θ 52.28, I 168; 2θ 57.13, I 96; 2θ 58.92, I 138; 2θ 61.08, I 178; 2θ 61.73, I 122